(1)
Diffraction record for NdFeSi2Os. The PXRD pattern is computed, not measured: it uses a cell relaxed with PBE and CuKα.
Peak positions follow from Bragg's law for the DFT cell and can differ from measured ones.

Lattice parameters (Å, degrees): 5.733 5.733 5.733 138.09 138.09 60.76
Atoms (fractional coordinates):
Nd  0.000  0.000  0.000
Fe  0.250  0.750  0.500
Si  0.366  0.366  0.000
Si  0.634  0.634  0.000
Os  0.750  0.250  0.500

The 10 most intense peaks (2θ = 10–90°), low angle first:
23.5 deg, I 53
34.9 deg, I 39
35.9 deg, I 100
36.3 deg, I 18
44.2 deg, I 38
50.6 deg, I 15
57.5 deg, I 19
58.5 deg, I 19
65.1 deg, I 20
75.8 deg, I 22

(2)
Diffraction record for EuH2. The PXRD pattern is computed, not measured: it uses a cell relaxed with PBE and CuKα.
Peak positions follow from Bragg's law for the DFT cell and can differ from measured ones.

Lattice parameters (Å, degrees): 6.120 3.725 7.054 90.00 90.00 90.00
Atoms (fractional coordinates):
Eu  0.242  0.250  0.114
Eu  0.258  0.750  0.614
Eu  0.742  0.250  0.386
Eu  0.758  0.750  0.886
H  0.026  0.750  0.322
H  0.143  0.750  0.930
H  0.357  0.250  0.430
H  0.474  0.250  0.822
H  0.526  0.750  0.178
H  0.643  0.750  0.570
H  0.857  0.250  0.070
H  0.974  0.250  0.678

The 10 most intense peaks (2θ = 10–90°), low angle first:
27.1 deg, I 35
29.2 deg, I 100
30.8 deg, I 67
40.2 deg, I 26
45.6 deg, I 15
51.8 deg, I 20
52.8 deg, I 15
55.1 deg, I 16
58.0 deg, I 29
60.6 deg, I 12

(3)
Diffraction record for LaTh3Ru8. The PXRD pattern is computed, not measured: it uses a cell relaxed with PBE and CuKα.
Peak positions follow from Bragg's law for the DFT cell and can differ from measured ones.

Lattice parameters (Å, degrees): 9.393 9.393 9.393 33.79 33.79 33.79
Atoms (fractional coordinates):
La  0.000  0.000  0.000
Th  0.123  0.123  0.123
Th  0.500  0.500  0.500
Th  0.626  0.626  0.626
Ru  0.062  0.062  0.560
Ru  0.062  0.560  0.062
Ru  0.064  0.563  0.563
Ru  0.312  0.312  0.312
Ru  0.560  0.062  0.062
Ru  0.563  0.064  0.563
Ru  0.563  0.563  0.064
Ru  0.812  0.812  0.812

The 10 most intense peaks (2θ = 10–90°), low angle first:
32.8 deg, I 35
33.0 deg, I 34
38.7 deg, I 100
38.9 deg, I 33
40.5 deg, I 21
58.7 deg, I 14
62.6 deg, I 17
62.7 deg, I 16
68.8 deg, I 17
69.2 deg, I 16

(4)
Diffraction record for Sc2OsPt. The PXRD pattern is computed, not measured: it uses a cell relaxed with PBE and CuKα.
Peak positions follow from Bragg's law for the DFT cell and can differ from measured ones.

Lattice parameters (Å, degrees): 4.600 4.600 4.600 60.00 60.00 60.00
Atoms (fractional coordinates):
Sc  0.250  0.250  0.250
Sc  0.750  0.750  0.750
Os  0.000  0.000  0.000
Pt  0.500  0.500  0.500

The 7 most intense peaks (2θ = 10–90°), low angle first:
27.4 deg, I 48
39.2 deg, I 100
48.5 deg, I 14
56.6 deg, I 17
64.0 deg, I 20
71.0 deg, I 34
84.2 deg, I 11

(5)
Diffraction record for Na2CaSnP2SO12. The PXRD pattern is computed, not measured: it uses a cell relaxed with PBE and CuKα.
Peak positions follow from Bragg's law for the DFT cell and can differ from measured ones.

Lattice parameters (Å, degrees): 9.172 9.172 9.314 120.43 120.43 59.67
Atoms (fractional coordinates):
Na  0.074  0.926  0.500
Na  0.347  0.821  0.231
Na  0.821  0.347  0.731
Na  0.926  0.074  0.000
Ca  0.459  0.957  0.661
Ca  0.957  0.459  0.161
Sn  0.152  0.662  0.775
Sn  0.662  0.152  0.275
P  0.040  0.267  0.460
P  0.267  0.040  0.960
P  0.768  0.869  0.475
P  0.869  0.768  0.975
S  0.368  0.541  0.479
S  0.541  0.368  0.979
O  0.044  0.764  0.972
O  0.081  0.435  0.630
O  0.090  0.190  0.979
O  0.190  0.090  0.479
O  0.219  0.501  0.320
O  0.264  0.868  0.962
O  0.284  0.999  0.790
O  0.341  0.576  0.642
O  0.382  0.539  0.973
O  0.389  0.697  0.494
O  0.435  0.081  0.130
O  0.501  0.219  0.820
O  0.539  0.382  0.473
O  0.576  0.341  0.142
O  0.593  0.902  0.483
O  0.697  0.389  0.994
O  0.712  0.813  0.819
O  0.764  0.044  0.472
O  0.813  0.712  0.319
O  0.848  0.936  0.154
O  0.868  0.264  0.462
O  0.902  0.593  0.983
O  0.936  0.848  0.654
O  0.999  0.284  0.290

The 10 most intense peaks (2θ = 10–90°), low angle first:
13.6 deg, I 62
13.7 deg, I 39
19.3 deg, I 100
22.5 deg, I 33
22.8 deg, I 68
27.4 deg, I 37
30.4 deg, I 43
30.7 deg, I 50
30.9 deg, I 61
34.0 deg, I 59

(6)
Diffraction record for Ba3SbAs. The PXRD pattern is computed, not measured: it uses a cell relaxed with PBE and CuKα.
Peak positions follow from Bragg's law for the DFT cell and can differ from measured ones.

Lattice parameters (Å, degrees): 6.218 6.218 6.218 90.00 90.00 90.00
Atoms (fractional coordinates):
Ba  0.000  0.000  0.500
Ba  0.000  0.500  0.000
Ba  0.500  0.000  0.000
Sb  0.500  0.500  0.500
As  0.000  0.000  0.000

The 10 most intense peaks (2θ = 10–90°), low angle first:
24.8 deg, I 100
28.7 deg, I 95
41.1 deg, I 72
48.6 deg, I 48
50.9 deg, I 25
59.5 deg, I 12
65.4 deg, I 20
67.4 deg, I 33
74.8 deg, I 24
80.2 deg, I 15